1.
# LaEr2MoO8
Theoretical PXRD pattern, copper Kα. Input: a structure optimized by DFT (GGA+U).
Kinematic intensities with the Lorentz-polarization factor, no thermal factor.

Largest 6 diffraction maxima, low angle first, 2θ = 10–90°:
hkl	2θ (°)	I (rel.)
0 2 0	24.99	56
2 0 0	25.26	54
1 1 2	31.14	100
2 2 0	35.83	28
1 3 2	48.04	39
3 1 2	48.35	38

Atomic structure:
```
data_LaEr2MoO8
_chemical_formula_sum 'La2 Er4 Mo2 O16'
_cell_length_a 7.0510
_cell_length_b 7.1259
_cell_length_c 7.0076
_cell_angle_alpha 90.00
_cell_angle_beta 90.00
_cell_angle_gamma 90.00
_symmetry_space_group_name_H-M 'C m m m'
_symmetry_Int_Tables_number 65
_symmetry_space_group_name_Hall '-C 2 2'
loop_
_atom_site_label
_atom_site_type_symbol
_atom_site_fract_x
_atom_site_fract_y
_atom_site_fract_z
_atom_site_occupancy
La1 La 0.0000 0.0000 0.0000 1
Er1 Er 0.0000 0.5000 0.2617 1
Mo1 Mo 0.0000 0.0000 0.5000 1
O1 O 0.0000 0.1862 0.2971 1
O2 O 0.1785 0.5000 0.0000 1
O3 O 0.2206 0.5000 0.5000 1
```

---

2.
# Mg3FeSi2O8
Theoretical PXRD pattern, copper Kα. Input: a structure optimized by DFT (GGA+U).
Kinematic intensities with the Lorentz-polarization factor, no thermal factor.

Largest 6 diffraction maxima, low angle first, 2θ = 10–90°:
hkl	2θ (°)	I (rel.)
0 2 0	17.08	60
0 2 1	22.55	56
1 3 -1	31.79	100
1 1 1	35.90	75
1 1 -3	36.17	75
2 2 -4	51.65	72

Atomic structure:
```
data_Mg3FeSi2O8
_chemical_formula_sum 'Mg6 Fe2 Si4 O16'
_cell_length_a 4.8387
_cell_length_b 10.3842
_cell_length_c 7.7213
_cell_angle_alpha 90.00
_cell_angle_beta 128.31
_cell_angle_gamma 90.00
_symmetry_space_group_name_H-M 'P 1 21/c 1'
_symmetry_Int_Tables_number 14
loop_
_symmetry_equiv_pos_as_xyz
'x,y,z'
'-x,-y,-z'
'-x,y+1/2,-z+1/2'
'x,-y+1/2,z+1/2'
loop_
_atom_site_label
_atom_site_type_symbol
_atom_site_fract_x
_atom_site_fract_y
_atom_site_fract_z
_atom_site_occupancy
Mg1 Mg 0.0000 0.0000 0.0000 1
Mg2 Mg 0.2568 0.2224 0.7491 1
Fe1 Fe 0.5000 0.0000 0.5000 1
Si1 Si 0.1808 0.5957 0.2531 1
O1 O 0.0400 0.0516 0.7526 1
O2 O 0.1762 0.1674 0.4616 1
O3 O 0.2468 0.6626 0.4705 1
O4 O 0.4799 0.0946 0.2464 1
```